Theoretical XRD peak list
Compound: AlCu2Si3
Radiation: copper Kα
Structure: a DFT-relaxed cell (PBE, Alexandria)
Kinematic intensities with the Lorentz-polarization factor, no thermal factor.

Atomic structure:
Cell lengths 6.0833, 6.0833, 3.8636 Å; angles 90.00, 90.00, 144.67 degrees
Atoms (fractional coordinates):
Al 0.0000 0.0000 0.0000
Cu 0.1708 0.8292 0.5000
Cu 0.8292 0.1708 0.5000
Si 0.3323 0.6677 0.0000
Si 0.5000 0.5000 0.5000
Si 0.6677 0.3323 0.0000

Principal peaks in the range 10 to 90 degrees two-theta, most intense first:
2θ/deg  intensity
41.1  100
47.0  33
83.3  24
70.6  19
49.4  14
23.0  12

=====

Theoretical XRD peak list
Compound: Al2Cu4Si
Radiation: copper Kα
Structure: a DFT-relaxed cell (PBE, Alexandria)
Kinematic intensities with the Lorentz-polarization factor, no thermal factor.

Atomic structure:
Cell lengths 6.6503, 4.0840, 7.2190 Å; angles 90.00, 96.27, 90.00 degrees
Atoms (fractional coordinates):
Al 0.1223 0.2500 0.4748
Al 0.2358 0.2500 0.8426
Al 0.7642 0.7500 0.1574
Al 0.8777 0.7500 0.5252
Cu 0.0061 0.7500 0.8971
Cu 0.1363 0.7500 0.2760
Cu 0.3856 0.7500 0.0317
Cu 0.4871 0.2500 0.6006
Cu 0.5129 0.7500 0.3994
Cu 0.6144 0.2500 0.9683
Cu 0.8637 0.2500 0.7240
Cu 0.9939 0.2500 0.1029
Si 0.3920 0.2500 0.2363
Si 0.6080 0.7500 0.7637

Principal peaks in the range 10 to 90 degrees two-theta, most intense first:
2θ/deg  intensity
44.7  100
45.1  91
44.4  59
47.4  57
17.2  39
41.5  38

=====

Theoretical XRD peak list
Compound: AlCu5Si2
Radiation: copper Kα
Structure: a DFT-relaxed cell (PBE, Alexandria)
Kinematic intensities with the Lorentz-polarization factor, no thermal factor.

Atomic structure:
Cell lengths 8.1436, 8.1436, 8.1436 Å; angles 154.21, 154.21, 36.79 degrees
Atoms (fractional coordinates):
Al 0.0000 0.0000 0.0000
Cu 0.1241 0.6241 0.5000
Cu 0.3759 0.8759 0.5000
Cu 0.5000 0.5000 0.0000
Cu 0.6241 0.1241 0.5000
Cu 0.8759 0.3759 0.5000
Si 0.2499 0.2499 0.0000
Si 0.7501 0.7501 0.0000

Principal peaks in the range 10 to 90 degrees two-theta, most intense first:
2θ/deg  intensity
42.2  100
50.2  30
88.8  21
71.2  19
47.0  18
84.1  12

=====

Theoretical XRD peak list
Compound: Al3Cu2Si3
Radiation: copper Kα
Structure: a DFT-relaxed cell (PBE, Alexandria)
Kinematic intensities with the Lorentz-polarization factor, no thermal factor.

Atomic structure:
Cell lengths 7.5570, 7.5570, 4.7801 Å; angles 90.00, 90.00, 120.00 degrees
Atoms (fractional coordinates):
Al 0.0000 0.2197 0.2500
Al 0.0000 0.7803 0.7500
Al 0.2197 0.0000 0.2500
Al 0.2197 0.2197 0.7500
Al 0.7803 0.0000 0.7500
Al 0.7803 0.7803 0.2500
Cu 0.3333 0.6667 0.0000
Cu 0.3333 0.6667 0.5000
Cu 0.6667 0.3333 0.0000
Cu 0.6667 0.3333 0.5000
Si 0.0000 0.4183 0.7500
Si 0.0000 0.5817 0.2500
Si 0.4183 0.0000 0.7500
Si 0.4183 0.4183 0.2500
Si 0.5817 0.0000 0.2500
Si 0.5817 0.5817 0.7500

Principal peaks in the range 10 to 90 degrees two-theta, most intense first:
2θ/deg  intensity
44.9  100
13.5  80
41.1  70
36.3  69
23.5  61
41.4  48

=====

Theoretical XRD peak list
Compound: AlCuSi2
Radiation: copper Kα
Structure: a DFT-relaxed cell (PBE, Alexandria)
Kinematic intensities with the Lorentz-polarization factor, no thermal factor.

Atomic structure:
Cell lengths 2.9017, 2.9017, 8.2029 Å; angles 90.00, 90.00, 120.00 degrees
Atoms (fractional coordinates):
Al 0.0000 0.0000 0.0000
Cu 0.6667 0.3333 0.5314
Si 0.3333 0.6667 0.7474
Si 0.6667 0.3333 0.2441

Principal peaks in the range 10 to 90 degrees two-theta, most intense first:
2θ/deg  intensity
37.4  100
49.2  69
10.8  61
42.2  37
35.7  33
64.2  27

=====

Theoretical XRD peak list
Compound: Al2Cu4Si
Radiation: copper Kα
Structure: a DFT-relaxed cell (PBE, Alexandria)
Kinematic intensities with the Lorentz-polarization factor, no thermal factor.

Atomic structure:
Cell lengths 2.7243, 2.7243, 28.2333 Å; angles 90.00, 90.00, 117.35 degrees
Atoms (fractional coordinates):
Al 0.1391 0.8609 0.5000
Al 0.1596 0.8404 0.3541
Al 0.8404 0.1596 0.8541
Al 0.8609 0.1391 0.0000
Cu 0.1301 0.8699 0.6430
Cu 0.1573 0.8427 0.7802
Cu 0.4798 0.5202 0.5709
Cu 0.4805 0.5195 0.4276
Cu 0.5195 0.4805 0.9276
Cu 0.5202 0.4798 0.0709
Cu 0.8427 0.1573 0.2802
Cu 0.8699 0.1301 0.1430
Si 0.4782 0.5218 0.7106
Si 0.5218 0.4782 0.2106

Principal peaks in the range 10 to 90 degrees two-theta, most intense first:
2θ/deg  intensity
45.0  100
42.0  81
45.4  74
37.3  37
18.9  35
43.6  33